1.
The following is a computed X-ray powder pattern of Cd6Co5O15. It was derived from DFT lattice parameters and positions (PBE+U), using Cu Kα, 1.54184 Å.
Peak positions follow from Bragg's law for the DFT cell and can differ from measured ones.

Structural model:
a = 6.759 Å, b = 6.759 Å, c = 6.759 Å
α = 87.35°, β = 87.35°, γ = 87.35°
Fractional coordinates of all 26 atoms:
Cd 0.000 0.316 0.684
Cd 0.166 0.834 0.500
Cd 0.316 0.684 0.000
Cd 0.500 0.166 0.834
Cd 0.684 0.000 0.316
Cd 0.834 0.500 0.166
Co 0.103 0.103 0.103
Co 0.300 0.300 0.300
Co 0.500 0.500 0.500
Co 0.700 0.700 0.700
Co 0.897 0.897 0.897
O 0.000 0.845 0.155
O 0.022 0.255 0.327
O 0.155 0.000 0.845
O 0.255 0.327 0.022
O 0.302 0.580 0.319
O 0.319 0.302 0.580
O 0.327 0.022 0.255
O 0.420 0.698 0.681
O 0.580 0.319 0.302
O 0.673 0.745 0.978
O 0.681 0.420 0.698
O 0.698 0.681 0.420
O 0.745 0.978 0.673
O 0.845 0.155 0.000
O 0.978 0.673 0.745

Principal peaks in the range 15° ≤ 2θ ≤ 90°, sorted by position:
| d [Å] | two_theta | I (rel.) |
| --- | --- | --- |
| 3.071 | 29.07 | 100.0 |
| 2.695 | 33.25 | 87.2 |
| 2.026 | 44.74 | 41.5 |
| 1.910 | 47.60 | 11.5 |
| 1.869 | 48.72 | 8.2 |
| 1.626 | 56.59 | 21.5 |
| 1.619 | 56.86 | 26.7 |
| 1.556 | 59.40 | 19.8 |
| 1.348 | 69.79 | 12.8 |
| 1.234 | 77.33 | 9.8 |

---

2.
The following is a computed X-ray powder pattern of SbW2O8. It was derived from DFT lattice parameters and positions (PBE+U), using Cu Kα, 1.54184 Å.
Peak positions follow from Bragg's law for the DFT cell and can differ from measured ones.

Structural model:
a = 5.141 Å, b = 5.839 Å, c = 10.891 Å
α = 90.00°, β = 115.73°, γ = 90.00°
Fractional coordinates of all 22 atoms:
Sb 0.000 0.154 0.250
Sb 0.000 0.846 0.750
W 0.228 0.332 0.992
W 0.228 0.668 0.492
W 0.772 0.332 0.508
W 0.772 0.668 0.008
O 0.160 0.403 0.608
O 0.160 0.597 0.108
O 0.223 0.142 0.128
O 0.223 0.858 0.628
O 0.244 0.109 0.874
O 0.244 0.891 0.374
O 0.335 0.391 0.402
O 0.335 0.609 0.902
O 0.665 0.391 0.098
O 0.665 0.609 0.598
O 0.756 0.109 0.626
O 0.756 0.891 0.126
O 0.777 0.142 0.372
O 0.777 0.858 0.872
O 0.840 0.403 0.892
O 0.840 0.597 0.392

Principal peaks in the range 15° ≤ 2θ ≤ 90°, sorted by position:
| d [Å] | two_theta | I (rel.) |
| --- | --- | --- |
| 4.905 | 18.08 | 62.5 |
| 4.631 | 19.16 | 27.4 |
| 3.857 | 23.06 | 57.0 |
| 3.756 | 23.69 | 70.4 |
| 3.079 | 29.00 | 100.0 |
| 2.986 | 29.92 | 94.9 |
| 2.568 | 34.94 | 33.0 |
| 2.538 | 35.37 | 50.3 |
| 1.809 | 50.45 | 33.5 |
| 1.746 | 52.41 | 29.7 |

---

3.
The following is a computed X-ray powder pattern of V2ZnO4. It was derived from DFT lattice parameters and positions (PBE+U), using Cu Kα, 1.54184 Å.
Peak positions follow from Bragg's law for the DFT cell and can differ from measured ones.

Structural model:
a = 6.085 Å, b = 6.085 Å, c = 20.102 Å
α = 98.03°, β = 98.03°, γ = 59.92°
Fractional coordinates of all 56 atoms:
V 0.000 0.000 0.000
V 0.028 0.528 0.595
V 0.032 0.527 0.094
V 0.253 0.253 0.753
V 0.275 0.778 0.344
V 0.280 0.780 0.844
V 0.401 0.401 0.217
V 0.501 0.501 0.502
V 0.527 0.032 0.094
V 0.528 0.028 0.595
V 0.555 0.555 0.686
V 0.653 0.653 0.968
V 0.749 0.749 0.249
V 0.778 0.275 0.344
V 0.780 0.280 0.844
V 0.805 0.805 0.437
Zn 0.028 0.028 0.595
Zn 0.055 0.055 0.188
Zn 0.154 0.154 0.469
Zn 0.275 0.275 0.344
Zn 0.304 0.304 0.937
Zn 0.527 0.527 0.094
Zn 0.779 0.779 0.845
Zn 0.902 0.902 0.719
O 0.085 0.085 0.290
O 0.088 0.088 0.788
O 0.093 0.608 0.785
O 0.109 0.587 0.282
O 0.196 0.718 0.654
O 0.218 0.688 0.155
O 0.224 0.224 0.652
O 0.228 0.228 0.156
O 0.336 0.336 0.536
O 0.337 0.337 0.039
O 0.338 0.859 0.534
O 0.362 0.842 0.033
O 0.450 0.962 0.403
O 0.470 0.470 0.401
O 0.472 0.937 0.904
O 0.480 0.480 0.904
O 0.579 0.579 0.282
O 0.587 0.109 0.282
O 0.587 0.587 0.784
O 0.608 0.093 0.785
O 0.688 0.218 0.155
O 0.718 0.196 0.654
O 0.720 0.720 0.150
O 0.720 0.720 0.652
O 0.830 0.830 0.031
O 0.833 0.833 0.537
O 0.842 0.362 0.033
O 0.859 0.338 0.534
O 0.937 0.472 0.904
O 0.962 0.450 0.403
O 0.967 0.967 0.402
O 0.970 0.970 0.902

Principal peaks in the range 15° ≤ 2θ ≤ 90°, sorted by position:
| d [Å] | two_theta | I (rel.) |
| --- | --- | --- |
| 4.967 | 17.86 | 30.0 |
| 3.043 | 29.35 | 64.1 |
| 2.605 | 34.42 | 86.2 |
| 2.590 | 34.63 | 69.5 |
| 2.581 | 34.75 | 100.0 |
| 2.142 | 42.19 | 39.0 |
| 1.665 | 55.16 | 24.8 |
| 1.652 | 55.65 | 31.3 |
| 1.524 | 60.78 | 40.3 |
| 1.520 | 60.93 | 59.6 |

---

4.
The following is a computed X-ray powder pattern of BaVOF4. It was derived from DFT lattice parameters and positions (PBE+U), using Cu Kα, 1.54184 Å.
Peak positions follow from Bragg's law for the DFT cell and can differ from measured ones.

Structural model:
a = 5.498 Å, b = 5.498 Å, c = 14.592 Å
α = 100.19°, β = 100.19°, γ = 93.51°
Fractional coordinates of all 28 atoms:
Ba 0.000 0.000 0.000
Ba 0.131 0.634 0.276
Ba 0.412 0.356 0.777
Ba 0.776 0.230 0.497
V 0.284 0.751 0.545
V 0.531 0.523 0.043
V 0.619 0.109 0.236
V 0.872 0.846 0.733
O 0.134 0.779 0.796
O 0.401 0.714 0.981
O 0.490 0.628 0.484
O 0.557 0.373 0.295
F 0.017 0.954 0.623
F 0.210 0.494 0.612
F 0.263 0.055 0.489
F 0.273 0.429 0.109
F 0.288 0.958 0.162
F 0.388 0.218 0.948
F 0.541 0.965 0.654
F 0.581 0.898 0.328
F 0.667 0.820 0.826
F 0.728 0.249 0.125
F 0.732 0.518 0.663
F 0.740 0.760 0.151
F 0.823 0.501 0.984
F 0.924 0.208 0.792
F 0.972 0.155 0.291
F 0.986 0.627 0.453

Principal peaks in the range 15° ≤ 2θ ≤ 90°, sorted by position:
| d [Å] | two_theta | I (rel.) |
| --- | --- | --- |
| 3.933 | 22.61 | 32.9 |
| 3.853 | 23.08 | 100.0 |
| 3.639 | 24.46 | 78.9 |
| 3.524 | 25.27 | 60.7 |
| 3.247 | 27.47 | 36.6 |
| 3.048 | 29.30 | 39.0 |
| 2.939 | 30.41 | 41.9 |
| 2.744 | 32.63 | 63.4 |
| 2.298 | 39.20 | 37.7 |
| 2.165 | 41.72 | 79.9 |